Calculated powder X-ray diffraction pattern
Compound: HoAlNiAu
Radiation: Cu Kα, 1.54184 Å
Structure: a cell relaxed with PBE
Intensities are scaled so that the largest is 100.

Most intense lines, 10° ≤ 2θ ≤ 90°, most intense first:
two_theta	Rel. int.	h k l
38.69	100	2 2 0
23.41	42	1 1 1
70.02	35	4 2 2
45.71	22	3 1 1
55.86	17	4 0 0
82.97	11	4 4 0
61.39	10	3 3 1
87.71	8	5 3 1
74.96	7	5 1 1
27.09	3	2 0 0

a = 6.583 Å, b = 6.583 Å, c = 6.583 Å
α = 90.00°, β = 90.00°, γ = 90.00°
Space group F-43m (No. 216)
One atom of each set of equivalent atoms:
1 Ho 0.000 0.000 0.000 x4
2 Al 0.000 0.000 0.500 x4
3 Ni 0.250 0.250 0.250 x4
4 Au 0.250 0.250 0.750 x4

Calculated powder X-ray diffraction pattern
Compound: La2PmHoIn2
Radiation: Cu Kα, 1.54184 Å
Structure: a cell relaxed with PBE
Intensities are scaled so that the largest is 100.

Most intense lines, 10° ≤ 2θ ≤ 90°, most intense first:
two_theta	Rel. int.	h k l
31.18	100	1 3 0
32.26	62	1 1 2
31.03	57	1 0 2
34.37	52	2 0 0
33.84	31	1 3 1
29.04	22	0 3 1
59.54	21	3 3 0
36.90	21	0 3 2
27.54	19	1 2 1
51.31	16	2 3 2

a = 5.219 Å, b = 10.298 Å, c = 6.913 Å
α = 90.00°, β = 90.00°, γ = 90.00°
Space group Pmc2_1 (No. 26)
One atom of each set of equivalent atoms:
1 La 0.000 0.058 0.000 x2
2 La 0.500 0.179 0.232 x2
3 Pm 0.500 0.458 0.876 x2
4 Ho 0.000 0.310 0.597 x2
5 In 0.000 0.382 0.140 x2
6 In 0.500 0.149 0.715 x2

Calculated powder X-ray diffraction pattern
Compound: Pr2Si3Pt2
Radiation: Cu Kα, 1.54184 Å
Structure: a cell relaxed with PBE
Intensities are scaled so that the largest is 100.

Most intense lines, 10° ≤ 2θ ≤ 90°, most intense first:
two_theta	Rel. int.	h k l
33.26	100	1 1 2
34.80	83	1 5 1
36.20	72	1 3 2
43.64	57	0 4 3
41.70	57	2 0 0
32.29	52	1 5 0
25.34	41	1 3 0
61.94	41	2 4 3
39.95	41	0 8 0
41.53	38	1 5 2

a = 4.332 Å, b = 18.046 Å, c = 7.007 Å
α = 90.00°, β = 90.00°, γ = 90.00°
Space group Cmcm (No. 63)
One atom of each set of equivalent atoms:
1 Pr 0.000 0.056 0.250 x4
2 Pr 0.000 0.153 0.750 x4
3 Si 0.000 0.226 0.250 x4
4 Si 0.000 0.440 0.071 x8
5 Pt 0.000 0.308 0.547 x8

Calculated powder X-ray diffraction pattern
Compound: CePb2F11
Radiation: Cu Kα, 1.54184 Å
Structure: a cell relaxed with PBE
Intensities are scaled so that the largest is 100.

Most intense lines, 10° ≤ 2θ ≤ 90°, most intense first:
two_theta	Rel. int.	h k l
24.88	100	2 1 1
21.21	95	1 1 2
23.49	79	0 2 2
21.85	63	1 2 1
43.27	48	1 3 4
15.99	47	0 0 2
45.60	43	3 3 2
47.75	34	4 0 2
28.04	31	1 3 0
33.93	27	2 1 3

a = 8.119 Å, b = 10.379 Å, c = 11.084 Å
α = 90.00°, β = 90.00°, γ = 90.00°
Space group Ibam (No. 72)
One atom of each set of equivalent atoms:
1 Ce 0.000 0.000 0.250 x4
2 Pb 0.139 0.319 0.000 x8
3 F 0.000 0.500 0.000 x4
4 F 0.096 0.174 0.144 x16
5 F 0.131 0.284 0.500 x8
6 F 0.221 0.070 0.363 x16

Calculated powder X-ray diffraction pattern
Compound: ErTePd5
Radiation: Cu Kα, 1.54184 Å
Structure: a cell relaxed with PBE
Intensities are scaled so that the largest is 100.

Most intense lines, 10° ≤ 2θ ≤ 90°, most intense first:
two_theta	Rel. int.	h k l
38.91	100	1 1 2
43.43	38	2 0 0
76.67	27	3 1 2
67.27	18	2 0 4
24.45	16	1 0 1
63.10	12	2 2 0
48.69	12	0 0 4
32.66	10	1 1 1
83.53	10	2 2 4
84.35	8	1 1 6

a = 4.167 Å, b = 4.167 Å, c = 7.481 Å
α = 90.00°, β = 90.00°, γ = 90.00°
Space group P4/mmm (No. 123)
One atom of each set of equivalent atoms:
1 Er 0.000 0.000 0.000 x1
2 Te 0.500 0.500 0.500 x1
3 Pd 0.000 0.500 0.270 x4
4 Pd 0.500 0.500 0.000 x1

Calculated powder X-ray diffraction pattern
Compound: AuIF
Radiation: Cu Kα, 1.54184 Å
Structure: a cell relaxed with PBE
Intensities are scaled so that the largest is 100.

Most intense lines, 10° ≤ 2θ ≤ 90°, most intense first:
two_theta	Rel. int.	h k l
21.70	100	1 0 -1
38.55	46	1 2 -1
31.46	43	0 2 0
14.86	40	0 0 1
25.02	25	1 0 1
37.40	24	1 0 2
49.65	22	1 2 2
36.46	19	2 0 0
41.58	16	2 0 1
53.06	15	2 2 1

a = 4.980 Å, b = 5.687 Å, c = 6.022 Å
α = 90.00°, β = 98.14°, γ = 90.00°
Space group P2_1/m (No. 11)
One atom of each set of equivalent atoms:
1 Au 0.213 0.250 0.175 x2
2 I 0.174 0.750 0.163 x2
3 F 0.457 0.750 0.583 x2

Q: What is the formula in the first record?
A: HoAlNiAu